1.
For BaY2Br8, a cell relaxed with PBE gives the theoretical powder XRD pattern in this record (Cu Kα X-rays).
Intensities are scaled so that the largest is 100.

Atomic structure:
```
BaY2Br8
1.0
8.8983 -5.1318 0.0000
8.8983 5.1318 0.0000
-4.9860 0.0000 9.7178
Ba Y Br
2 4 16
direct
0.0236 0.9764 0.7500 Ba
0.9764 0.0236 0.2500 Ba
0.0393 0.4638 0.7915 Y
0.4638 0.0393 0.2915 Y
0.5362 0.9607 0.7085 Y
0.9607 0.5362 0.2085 Y
0.0064 0.7914 0.4150 Br
0.0845 0.6357 0.0749 Br
0.1558 0.6108 0.7317 Br
0.2086 0.9936 0.0850 Br
0.2549 0.3570 0.3532 Br
0.3570 0.2549 0.8532 Br
0.3643 0.9155 0.4251 Br
0.3892 0.8442 0.7683 Br
0.6108 0.1558 0.2317 Br
0.6357 0.0845 0.5749 Br
0.6430 0.7451 0.1468 Br
0.7451 0.6430 0.6468 Br
0.7914 0.0064 0.9150 Br
0.8442 0.3892 0.2683 Br
0.9155 0.3643 0.9251 Br
0.9936 0.2086 0.5850 Br
```

Main lines, by angle (10° ≤ 2θ ≤ 80°):
| 2θ/deg | intensity |
| --- | --- |
| 10.3 | 100.0 |
| 18.3 | 44.4 |
| 29.1 | 41.8 |
| 30.4 | 45.3 |
| 31.0 | 66.1 |
| 35.0 | 46.5 |



2.
For BaZr2Br, a cell relaxed with PBE gives the theoretical powder XRD pattern in this record (Cu Kα X-rays).
Intensities are scaled so that the largest is 100.

Atomic structure:
```
BaZr2Br
1.0
3.4274 0.0000 0.0000
0.0000 3.4274 0.0000
0.0000 0.0000 9.9350
Ba Zr Br
1 2 1
direct
0.0000 0.0000 0.0000 Ba
0.0000 0.0000 0.4862 Zr
0.5000 0.5000 0.6816 Zr
0.5000 0.5000 0.2536 Br
```

Main lines, by angle (10° ≤ 2θ ≤ 80°):
| 2θ/deg | intensity |
| --- | --- |
| 31.7 | 100.0 |
| 36.2 | 11.9 |
| 37.1 | 36.8 |
| 52.8 | 15.7 |
| 53.5 | 12.5 |
| 63.5 | 26.1 |



3.
For Ba5C3, a cell relaxed with PBE gives the theoretical powder XRD pattern in this record (Cu Kα X-rays).
Intensities are scaled so that the largest is 100.

Atomic structure:
```
Ba5C3
1.0
4.0927 -6.5957 0.0000
4.0927 6.5957 0.0000
0.0000 0.0000 4.4622
Ba C
5 3
direct
0.0000 0.0000 0.0000 Ba
0.0000 0.5000 0.0000 Ba
0.3035 0.3035 0.5000 Ba
0.5000 0.0000 0.0000 Ba
0.6965 0.6965 0.5000 Ba
0.1460 0.8540 0.5000 C
0.5000 0.5000 0.0000 C
0.8540 0.1460 0.5000 C
```

Main lines, by angle (10° ≤ 2θ ≤ 80°):
| 2θ/deg | intensity |
| --- | --- |
| 23.7 | 21.7 |
| 24.1 | 40.5 |
| 27.0 | 45.2 |
| 32.6 | 100.0 |
| 49.3 | 17.2 |
| 51.4 | 25.4 |



4.
For Ba3C5, a cell relaxed with PBE gives the theoretical powder XRD pattern in this record (Cu Kα X-rays).
Intensities are scaled so that the largest is 100.

Atomic structure:
```
Ba3C5
1.0
4.1686 0.0000 0.0000
0.0000 4.1686 0.0000
0.0000 0.0000 10.6195
Ba C
3 5
direct
0.0000 0.0000 0.0000 Ba
0.5000 0.5000 0.3257 Ba
0.5000 0.5000 0.6743 Ba
0.0000 0.0000 0.3731 C
0.0000 0.0000 0.5000 C
0.0000 0.0000 0.6269 C
0.5000 0.5000 0.0603 C
0.5000 0.5000 0.9397 C
```

Main lines, by angle (10° ≤ 2θ ≤ 80°):
| 2θ/deg | intensity |
| --- | --- |
| 22.9 | 78.3 |
| 25.2 | 65.2 |
| 27.2 | 100.0 |
| 30.3 | 99.2 |
| 39.8 | 75.8 |
| 50.8 | 36.8 |